# PaMo2PbO8
Theoretical powder diffraction line list, Cu Kα. Input: the PBE+U geometry in Alexandria.

Largest 10 diffraction maxima, in order of rising 2θ, 10 to 80 degrees two-theta:
2θ (°), d/Å, Rel. int.
18.20, 4.876, 17
28.08, 3.178, 100
30.83, 2.900, 16
33.35, 2.687, 22
46.05, 1.971, 30
47.88, 1.900, 15
53.16, 1.723, 17
56.43, 1.631, 29
58.04, 1.589, 12
74.33, 1.276, 20

Crystal structure
Lattice parameters (Å, degrees): 6.9336 6.9336 6.9336 134.41 134.41 66.46
Fractional coordinates of all 12 atoms:
Pa 0.0000 0.0000 0.0000
Mo 0.2500 0.7500 0.5000
Mo 0.5000 0.5000 0.0000
Pb 0.7500 0.2500 0.5000
O 0.0916 0.6750 0.0911
O 0.1644 0.2238 0.5359
O 0.3250 0.4161 0.4166
O 0.3715 0.8356 0.0594
O 0.5839 0.0005 0.9089
O 0.6879 0.6285 0.4641
O 0.7762 0.3121 0.9406
O 0.9995 0.9084 0.5834